(1)
Ac2TmBi2Te2: computed powder X-ray diffraction pattern (λ = 1.5418 Å (Cu Kα)), based on a DFT-relaxed cell (PBE, Alexandria).

Structure:
```
data_Ac2TmBi2Te2
_chemical_formula_sum 'Ac4 Tm2 Bi4 Te4'
_space_group_name_H-M_alt 'I 4/m m m'
_space_group_IT_number 139
_space_group_name_Hall '-I 4 2'
_cell_length_a 5.7676
_cell_length_b 5.7676
_cell_length_c 16.7661
_cell_angle_alpha 90.00
_cell_angle_beta 90.00
_cell_angle_gamma 90.00
loop_
_atom_site_label
_atom_site_fract_x
_atom_site_fract_y
_atom_site_fract_z
Ac1 0.0000 0.0000 0.1284
Tm1 0.0000 0.0000 0.5000
Bi1 0.0000 0.5000 0.0000
Te1 0.0000 0.0000 0.3188
```

Top 10 peaks for 2θ = 10–90°, in order of rising 2θ:
2θ/deg, I (rel.)
10.55, 57
21.79, 30
24.27, 41
30.58, 67
30.85, 53
31.01, 100
44.31, 40
44.43, 38
45.18, 32
54.90, 27

(2)
SrGaCu2Pt: computed powder X-ray diffraction pattern (λ = 1.5418 Å (Cu Kα)), based on a DFT-relaxed cell (PBE, Alexandria).

Structure:
```
data_SrGaCu2Pt
_chemical_formula_sum 'Sr2 Ga2 Cu4 Pt2'
_space_group_name_H-M_alt 'I m m 2'
_space_group_IT_number 44
_space_group_name_Hall 'I 2 -2'
_cell_length_a 4.3374
_cell_length_b 4.3727
_cell_length_c 10.1046
_cell_angle_alpha 90.00
_cell_angle_beta 90.00
_cell_angle_gamma 90.00
loop_
_atom_site_label
_atom_site_fract_x
_atom_site_fract_y
_atom_site_fract_z
Sr1 0.0000 0.0000 0.0000
Ga1 0.0000 0.0000 0.3699
Cu1 0.0000 0.0000 0.6150
Cu2 0.0000 0.5000 0.2473
Pt1 0.0000 0.5000 0.7460
```

Top 10 peaks for 2θ = 10–90°, in order of rising 2θ:
2θ/deg, I (rel.)
17.55, 28
22.15, 20
33.59, 20
33.69, 21
34.10, 100
41.29, 29
41.64, 28
46.50, 33
60.09, 18
62.90, 15